Computed X-ray diffraction stick pattern of LiCaAc2 for Cu Kα (λ = 1.5418 Å), from a cell relaxed with PBE.

Top 6 peaks for 10 to 90 degrees two-theta, by intensity:
- hkl 2 2 0, 29.50 deg, intensity 100
- hkl 2 0 0, 20.74 deg, intensity 75
- hkl 4 2 2, 52.34 deg, intensity 41
- hkl 4 2 0, 47.48 deg, intensity 36
- hkl 2 2 2, 36.34 deg, intensity 25
- hkl 6 4 2, 84.70 deg, intensity 21

Crystal structure
a = 8.564 Å, b = 8.564 Å, c = 8.564 Å
α = 90.00°, β = 90.00°, γ = 90.00°
Space group Fm-3m (No. 225)
Asymmetric unit:
Li (0.000, 0.000, 0.000) (multiplicity 4)
Ca (0.000, 0.000, 0.500) (multiplicity 4)
Ac (0.250, 0.250, 0.250) (multiplicity 8)